Diffraction record for KNa2BeP2. The powder XRD pattern is calculated, not measured: it uses the GGA-PBE geometry in Alexandria and Cu Kα.
Kinematic intensities with the Lorentz-polarization factor, no thermal factor.

Main lines, low angle first (2θ = 10–80°):
hkl	2theta	d (Å)	Rel. int.
1 3 0	25.99	3.428	80.8
1 1 2	33.13	2.704	97.7
3 1 0	33.99	2.638	100.0
2 3 1	35.79	2.509	72.7
1 4 1	36.84	2.440	90.5
2 0 2	37.55	2.395	64.5

Atomic structure:
```
data_KNa2BeP2
_space_group_name_H-M_alt 'I b a m'
_space_group_IT_number 72
_space_group_name_Hall '-I 2 2c'
_cell_length_a 8.1362
_cell_length_b 11.3404
_cell_length_c 5.9258
_cell_angle_alpha 90.00
_cell_angle_beta 90.00
_cell_angle_gamma 90.00
loop_
_atom_site_label
_atom_site_type_symbol
_atom_site_fract_x
_atom_site_fract_y
_atom_site_fract_z
K1 K 0.0000 0.0000 0.2500
Na1 Na 0.1583 0.3140 0.0000
Be1 Be 0.0000 0.5000 0.2500
P1 P 0.1670 0.4067 0.5000
```